Entry 1:
Diffraction record for Zr2Al3. The powder diffractogram is theoretical, not measured: it uses a structure optimized by DFT (PBE) and Cu Ka.
Intensities are scaled so that the largest is 100.

Structural model:
a = 6.6765 Å, b = 6.6765 Å, c = 4.1978 Å
α = 90.00°, β = 90.00°, γ = 90.00°
Space group P4/m (No. 83)
Symmetry-distinct sites (fractional):
Zr  0.1252  0.6950  0.0000 [4 per cell]
Al  0.0000  0.0000  0.5000 [1 per cell]
Al  0.1926  0.4002  0.5000 [4 per cell]
Al  0.5000  0.5000  0.0000 [1 per cell]

The 6 most intense peaks (2θ = 10–80°), in order of falling intensity:
- hkl 1 2 1, 36.94 deg, d 2.433, I 100
- hkl 3 1 0, 42.83 deg, d 2.111, I 29
- hkl 0 0 1, 21.16 deg, d 4.198, I 25
- hkl 1 2 0, 29.93 deg, d 2.986, I 24
- hkl 5 0 1, 74.58 deg, d 1.272, I 19
- hkl 3 1 2, 62.39 deg, d 1.489, I 19

=====

Entry 2:
Diffraction record for Zr3Al. The powder diffractogram is theoretical, not measured: it uses a structure optimized by DFT (PBE) and Cu Ka.
Intensities are scaled so that the largest is 100.

Structural model:
a = 5.0939 Å, b = 6.0526 Å, c = 5.5271 Å
α = 90.00°, β = 90.00°, γ = 90.00°
Space group Pmmn (No. 59, origin choice 2)
Symmetry-distinct sites (fractional):
Zr  0.2500  0.0007  0.1600 [4 per cell]
Zr  0.2500  0.2500  0.6355 [2 per cell]
Al  0.2500  0.7500  0.6694 [2 per cell]

The 6 most intense peaks (2θ = 10–80°), in order of falling intensity:
- hkl 1 2 1, 38.23 deg, d 2.354, I 100
- hkl 1 0 2, 37.01 deg, d 2.429, I 70
- hkl 2 0 0, 35.24 deg, d 2.547, I 47
- hkl 0 2 1, 33.77 deg, d 2.654, I 34
- hkl 2 2 1, 49.60 deg, d 1.838, I 22
- hkl 2 2 3, 70.32 deg, d 1.339, I 21